Simulated XRD peak list of La4Pm15Tl for Cu Kα X-rays, from a PBE-relaxed structure.
Intensities are scaled so that the largest is 100.

Structural model:
Lattice parameters (Å, degrees): 5.121 5.121 26.048 90.00 90.00 90.00
Space group P4/mmm (No. 123)
One atom of each set of equivalent atoms:
La: 0.000 0.000 0.101 [2 per cell]
La: 0.000 0.000 0.303 [2 per cell]
Pm: 0.000 0.500 0.000 [2 per cell]
Pm: 0.000 0.500 0.203 [4 per cell]
Pm: 0.000 0.500 0.405 [4 per cell]
Pm: 0.500 0.500 0.102 [2 per cell]
Pm: 0.500 0.500 0.306 [2 per cell]
Pm: 0.500 0.500 0.500 [1 per cell]
Tl: 0.000 0.000 0.500 [1 per cell]

Principal peaks in the range 2θ from 10° to 90°, in order of rising 2θ:
- (1 1 5), 2θ = 30.05°, intensity 100.0
- (0 0 10), 2θ = 34.43°, intensity 16.9
- (2 0 0), 2θ = 35.04°, intensity 33.6
- (2 0 10), 2θ = 49.95°, intensity 23.7
- (2 2 0), 2θ = 50.40°, intensity 12.0
- (1 1 15), 2θ = 58.99°, intensity 13.6
- (3 1 5), 2θ = 59.80°, intensity 28.4
- (2 2 10), 2θ = 62.47°, intensity 12.6
- (3 1 15), 2θ = 81.22°, intensity 10.9
- (3 3 5), 2θ = 81.93°, intensity 5.9

***

Simulated XRD peak list of RbUTl2S4 for Cu Kα X-rays, from a PBE-relaxed structure.
Intensities are scaled so that the largest is 100.

Structural model:
Lattice parameters (Å, degrees): 5.836 5.836 14.408 90.00 90.00 90.00
Space group I-4m2 (No. 119)
One atom of each set of equivalent atoms:
Rb: 0.000 0.000 0.000 [2 per cell]
U: 0.000 0.500 0.750 [2 per cell]
Tl: 0.000 0.000 0.500 [2 per cell]
Tl: 0.000 0.500 0.250 [2 per cell]
S: 0.000 0.000 0.252 [4 per cell]
S: 0.000 0.500 0.577 [4 per cell]

Principal peaks in the range 2θ from 10° to 90°, in order of rising 2θ:
- (0 0 4), 2θ = 24.72°, intensity 40.2
- (1 1 2), 2θ = 24.86°, intensity 100.0
- (2 0 0), 2θ = 30.64°, intensity 58.9
- (2 0 4), 2θ = 39.75°, intensity 46.5
- (1 1 6), 2θ = 43.61°, intensity 32.0
- (2 2 0), 2θ = 43.88°, intensity 21.8
- (2 2 4), 2θ = 51.05°, intensity 53.3
- (2 0 8), 2θ = 60.40°, intensity 13.6
- (3 1 6), 2θ = 63.58°, intensity 21.3
- (4 0 4), 2θ = 69.54°, intensity 15.4

***

Simulated XRD peak list of Cs5K5Tl for Cu Kα X-rays, from a PBE-relaxed structure.
Intensities are scaled so that the largest is 100.

Structural model:
Lattice parameters (Å, degrees): 7.767 10.376 23.580 90.00 90.00 90.00
Space group Immm (No. 71)
One atom of each set of equivalent atoms:
Cs: 0.000 0.000 0.000 [2 per cell]
Cs: 0.000 0.000 0.291 [4 per cell]
Cs: 0.000 0.500 0.352 [4 per cell]
K: 0.000 0.000 0.500 [2 per cell]
K: 0.000 0.299 0.130 [8 per cell]
Tl: 0.000 0.500 0.000 [2 per cell]

Principal peaks in the range 2θ from 10° to 90°, in order of rising 2θ:
- (1 0 3), 2θ = 16.05°, intensity 71.9
- (0 2 0), 2θ = 17.09°, intensity 44.8
- (1 1 4), 2θ = 20.74°, intensity 41.7
- (0 0 6), 2θ = 22.63°, intensity 14.3
- (2 0 0), 2θ = 22.88°, intensity 59.4
- (1 2 3), 2θ = 23.52°, intensity 100.0
- (2 2 0), 2θ = 28.71°, intensity 25.8
- (1 4 3), 2θ = 38.33°, intensity 24.3
- (3 2 3), 2θ = 40.60°, intensity 23.4
- (2 4 0), 2θ = 41.88°, intensity 14.9